No. 1
Calculated X-ray powder pattern of Pr3MgB2N6 for Cu Kα, 1.54184 Å, from a GGA-PBE-relaxed structure.

Atomic structure:
```
data_Pr3MgB2N6
_symmetry_space_group_name_H-M 'P -3 m 1'
_symmetry_Int_Tables_number 164
_symmetry_space_group_name_Hall '-P 3 2"'
_cell_length_a 5.5081
_cell_length_b 5.5081
_cell_length_c 6.2317
_cell_angle_alpha 90.00
_cell_angle_beta 90.00
_cell_angle_gamma 120.00
loop_
_atom_site_label
_atom_site_fract_x
_atom_site_fract_y
_atom_site_fract_z
Pr1 0.0000 0.0000 0.0000
Pr2 0.3333 0.6667 0.6585
Mg1 0.0000 0.0000 0.5000
B1 0.3333 0.6667 0.2528
N1 0.1822 0.3644 0.2838
```

The 12 most intense peaks (10 to 80 degrees two-theta), sorted by position:
2θ (°)  I (rel.)
23.5  1000
32.5  693
34.4  594
40.5  411
43.6  102
48.0  310
52.9  249
55.4  231
58.0  131
59.2  234
68.1  110
78.6  112


No. 2
Calculated X-ray powder pattern of NaMg14B for Cu Kα, 1.54184 Å, from a GGA-PBE-relaxed structure.

Atomic structure:
```
data_NaMg14B
_symmetry_space_group_name_H-M 'A m m 2'
_symmetry_Int_Tables_number 38
_cell_length_a 9.949
_cell_length_b 6.236
_cell_length_c 11.468
_cell_angle_alpha 90.00
_cell_angle_beta 90.00
_cell_angle_gamma 90.00
loop_
_symmetry_equiv_pos_as_xyz
'x,y,z'
'-x,-y,z'
'-x,y,z'
'x,-y,z'
'x,y+1/2,z+1/2'
'-x,-y+1/2,z+1/2'
'-x,y+1/2,z+1/2'
'x,-y+1/2,z+1/2'
loop_
_atom_site_label
_atom_site_fract_x
_atom_site_fract_y
_atom_site_fract_z
Na1 0.000 0.000 0.000
Mg1 0.000 0.248 0.756
Mg2 0.231 0.235 0.587
Mg3 0.242 0.000 0.342
Mg4 0.258 0.000 0.841
Mg5 0.500 0.000 0.009
Mg6 0.500 0.000 0.500
Mg7 0.500 0.249 0.247
B1 0.000 0.000 0.593
```

The 12 most intense peaks (10 to 80 degrees two-theta), sorted by position:
2θ (°)  I (rel.)
31.2  146
32.7  256
36.1  919
37.5  1000
48.5  75
49.5  142
56.5  186
59.3  83
65.0  101
65.8  152
68.9  179
71.4  216


No. 3
Calculated X-ray powder pattern of NaMg2B for Cu Kα, 1.54184 Å, from a GGA-PBE-relaxed structure.

Atomic structure:
```
data_NaMg2B
_symmetry_space_group_name_H-M 'I 41/a m d'
_symmetry_Int_Tables_number 141
_cell_length_a 6.460
_cell_length_b 6.460
_cell_length_c 11.580
_cell_angle_alpha 90.00
_cell_angle_beta 90.00
_cell_angle_gamma 90.00
loop_
_symmetry_equiv_pos_as_xyz
'x,y,z'
'-x,-y,-z'
'-y+1/4,x+3/4,z+1/4'
'y+1/4,-x+3/4,-z+1/4'
'-x+1/2,-y,z+1/2'
'x+1/2,y,-z+1/2'
'y+1/4,-x+1/4,z+3/4'
'-y+1/4,x+1/4,-z+3/4'
'x,-y,-z'
'-x,y,z'
'-y+1/4,-x+1/4,-z+3/4'
'y+1/4,x+1/4,z+3/4'
'-x+1/2,y,-z+1/2'
'x+1/2,-y,z+1/2'
'y+1/4,x+3/4,-z+1/4'
'-y+1/4,-x+3/4,z+1/4'
'x+1/2,y+1/2,z+1/2'
'-x+1/2,-y+1/2,-z+1/2'
'-y+3/4,x+1/4,z+3/4'
'y+3/4,-x+1/4,-z+3/4'
'-x,-y+1/2,z'
'x,y+1/2,-z'
'y+3/4,-x+3/4,z+1/4'
'-y+3/4,x+3/4,-z+1/4'
'x+1/2,-y+1/2,-z+1/2'
'-x+1/2,y+1/2,z+1/2'
'-y+3/4,-x+3/4,-z+1/4'
'y+3/4,x+3/4,z+1/4'
'-x,y+1/2,-z'
'x,-y+1/2,z'
'y+3/4,x+1/4,-z+3/4'
'-y+3/4,-x+1/4,z+3/4'
loop_
_atom_site_label
_atom_site_fract_x
_atom_site_fract_y
_atom_site_fract_z
Na1 0.000 0.250 0.375
Mg1 0.000 0.000 0.000
B1 0.000 0.250 0.875
```

The 12 most intense peaks (10 to 80 degrees two-theta), sorted by position:
2θ (°)  I (rel.)
15.7  573
24.8  799
26.9  773
27.6  298
31.7  976
31.9  1000
41.4  246
47.2  230
50.9  629
51.6  254
57.0  218
66.7  278


> What is the formula in the third record?

NaMg2B